[1]
The following is a simulated powder X-ray diffraction pattern of CaSi2TcIr. It was derived from the PBE geometry in Alexandria, using Cu Kα.
Kinematic intensities with the Lorentz-polarization factor, no thermal factor.

Atomic structure:
```
data_CaSi2TcIr
_space_group_name_H-M_alt 'P 1'
_space_group_IT_number 1
_cell_length_a 5.711
_cell_length_b 5.711
_cell_length_c 5.711
_cell_angle_alpha 136.57
_cell_angle_beta 136.57
_cell_angle_gamma 63.10
loop_
_space_group_symop_operation_xyz
'x,y,z'
loop_
_atom_site_label
_atom_site_fract_x
_atom_site_fract_y
_atom_site_fract_z
Ca1 0.000 0.000 0.000
Si1 0.369 0.369 0.000
Si2 0.631 0.631 0.000
Tc1 0.250 0.750 0.500
Ir1 0.750 0.250 0.500
```

Main lines, in order of rising 2θ (2θ from 5° to 70°):
| d/Å | I/Imax |
| --- | --- |
| 4.867 | 76 |
| 3.876 | 20 |
| 2.988 | 26 |
| 2.547 | 100 |
| 2.434 | 16 |
| 2.113 | 41 |
| 1.938 | 27 |
| 1.887 | 36 |
| 1.595 | 17 |
| 1.426 | 18 |

***

[2]
The following is a simulated powder X-ray diffraction pattern of Sm2Dy4Ho5. It was derived from the PBE geometry in Alexandria, using Cu Kα.
Kinematic intensities with the Lorentz-polarization factor, no thermal factor.

Atomic structure:
```
data_Sm2Dy4Ho5
_space_group_name_H-M_alt 'P 1'
_space_group_IT_number 1
_cell_length_a 12.526
_cell_length_b 12.526
_cell_length_c 12.526
_cell_angle_alpha 164.00
_cell_angle_beta 137.84
_cell_angle_gamma 45.37
loop_
_space_group_symop_operation_xyz
'x,y,z'
loop_
_atom_site_label
_atom_site_fract_x
_atom_site_fract_y
_atom_site_fract_z
Sm1 0.232 0.232 0.000
Sm2 0.768 0.768 0.000
Dy1 0.097 0.097 0.000
Dy2 0.192 0.500 0.692
Dy3 0.808 0.500 0.308
Dy4 0.903 0.903 0.000
Ho1 0.161 0.357 0.804
Ho2 0.447 0.643 0.804
Ho3 0.500 0.000 0.500
Ho4 0.553 0.357 0.196
Ho5 0.839 0.643 0.196
```

Main lines, in order of rising 2θ (2θ from 5° to 70°):
| d/Å | I/Imax |
| --- | --- |
| 3.131 | 36 |
| 3.100 | 26 |
| 2.928 | 47 |
| 2.889 | 35 |
| 2.798 | 66 |
| 2.738 | 100 |
| 2.485 | 32 |
| 2.398 | 45 |
| 2.117 | 34 |
| 1.494 | 25 |